The following is a computed powder diffractogram of Li2MnVO4. It was derived from a structure optimized by DFT (PBE+U), using λ = 1.5418 Å (Cu Kα).
Kinematic intensities with the Lorentz-polarization factor, no thermal factor.

Atomic structure:
Unit cell a=8.2594 b=8.3049 c=6.0422 alpha=90.00 beta=132.52 gamma=90.00
Space group C2/c (No. 15)
Asymmetric unit:
Li 0.0000 0.0000 0.0000 (multiplicity 4)
Li 0.2500 0.2500 0.0000 (multiplicity 4)
Mn 0.2500 0.2500 0.5000 (multiplicity 4)
V 0.0000 0.5000 0.0000 (multiplicity 4)
O 0.0182 0.2564 0.5115 (multiplicity 8)
O 0.2355 0.4887 0.4797 (multiplicity 8)

Peak list (10 most intense, 2θ from 10° to 90°, in order of rising 2θ)
2θ/deg	intensity	hkl
18.07	85.0	1 1 0
18.19	100.0	1 1 -1
33.75	24.1	1 1 1
35.68	34.6	1 3 -1
40.51	64.0	0 0 2
43.59	50.2	0 4 0
43.85	49.2	4 0 -2
61.02	30.7	0 4 2
61.57	15.2	4 0 -4
63.54	29.0	4 4 -2

---

The following is a computed powder diffractogram of Li2MnVO4. It was derived from a structure optimized by DFT (PBE+U), using λ = 1.5418 Å (Cu Kα).
Kinematic intensities with the Lorentz-polarization factor, no thermal factor.

Atomic structure:
Unit cell a=10.6986 b=5.8338 c=5.3103 alpha=90.00 beta=112.77 gamma=90.00
Space group C2/m (No. 12)
Asymmetric unit:
Li 0.0000 0.2486 0.0000 (multiplicity 4)
Li 0.2494 0.0000 0.9994 (multiplicity 4)
Mn 0.0000 0.0000 0.5000 (multiplicity 2)
Mn 0.0000 0.5000 0.5000 (multiplicity 2)
V 0.2500 0.2500 0.5000 (multiplicity 4)
O 0.1192 0.2494 0.7148 (multiplicity 8)
O 0.1327 0.5000 0.2589 (multiplicity 4)
O 0.1335 0.0000 0.2562 (multiplicity 4)

Peak list (10 most intense, 2θ from 10° to 90°, in order of rising 2θ)
2θ/deg	intensity	hkl
18.12	100.0	0 0 1
33.78	17.6	4 0 -1
35.76	24.9	2 2 0
36.87	7.2	2 2 -1
40.66	33.5	4 0 -2
43.63	53.2	2 2 1
46.42	9.9	2 2 -2
57.52	9.0	2 2 2
60.97	16.7	6 2 -1
61.35	15.6	2 2 -3

---

The following is a computed powder diffractogram of Li2MnV3O8. It was derived from a structure optimized by DFT (PBE+U), using λ = 1.5418 Å (Cu Kα).
Kinematic intensities with the Lorentz-polarization factor, no thermal factor.

Atomic structure:
Unit cell a=5.8530 b=5.8974 c=5.9681 alpha=117.92 beta=117.91 gamma=91.89
Space group P-1 (No. 2)
Asymmetric unit:
Li 0.1149 0.3705 0.2293 (multiplicity 2)
Mn 0.5000 0.5000 0.0000 (multiplicity 1)
V 0.0000 0.0000 0.5000 (multiplicity 1)
V 0.5000 0.0000 0.0000 (multiplicity 1)
V 0.5000 0.0000 0.5000 (multiplicity 1)
O 0.2375 0.2124 0.4896 (multiplicity 2)
O 0.2543 0.2304 0.9597 (multiplicity 2)
O 0.2664 0.7870 0.5210 (multiplicity 2)
O 0.2948 0.7617 0.0470 (multiplicity 2)

Peak list (10 most intense, 2θ from 10° to 90°, in order of rising 2θ)
2θ/deg	intensity	hkl
17.99	47.7	0 1 0
18.17	100.0	0 1 -1
18.27	43.7	1 0 -1
34.24	13.7	1 0 -2
35.28	22.5	-2 1 1
40.90	41.7	0 0 2
42.84	36.6	2 -2 0
44.35	32.3	2 2 -2
60.60	11.7	-2 2 2
60.84	11.6	2 -2 2